This entry pairs a crystal structure of Cd4GaPb with its calculated powder XRD pattern. Radiation: Cu Kα (λ = 1.5418 Å). Structure: a cell relaxed with GGA-PBE.
No peak broadening, texture or thermal motion is included.

Structure:
abc: 3.2320 4.9296 9.2831
angles: 90.00 90.50 90.00
Fractional positions:
Cd 0.0007 0.0000 0.3335
Cd 0.4908 0.5000 0.2160
Cd 0.5092 0.5000 0.7840
Cd 0.9993 0.0000 0.6665
Ga 0.0000 0.5000 0.5000
Pb 0.5000 0.0000 0.0000

Peak list (10 most intense, 2θ from 10° to 90°, by intensity)
(0 1 3), 34.21 deg, intensity 100
(1 1 -2), 38.42 deg, intensity 65
(1 1 2), 38.67 deg, intensity 61
(0 2 0), 36.45 deg, intensity 55
(1 0 1), 29.34 deg, intensity 37
(1 0 -1), 29.18 deg, intensity 33
(2 2 0), 69.56 deg, intensity 26
(2 0 0), 56.98 deg, intensity 25
(0 1 2), 26.37 deg, intensity 24
(1 2 1), 47.46 deg, intensity 20

***

This entry pairs a crystal structure of FePt3Rh6 with its calculated powder XRD pattern. Radiation: Cu Kα (λ = 1.5418 Å). Structure: a cell relaxed with GGA-PBE.
No peak broadening, texture or thermal motion is included.

Structure:
abc: 5.0434 5.0434 6.8583
angles: 90.00 90.00 120.00
Fractional positions:
Fe 0.0000 0.0000 0.0000
Pt 0.0000 0.0000 0.5000
Pt 0.3333 0.6667 0.5000
Pt 0.6667 0.3333 0.5000
Rh 0.0000 0.3983 0.8177
Rh 0.0000 0.6017 0.1823
Rh 0.3983 0.0000 0.8177
Rh 0.3983 0.3983 0.1823
Rh 0.6017 0.0000 0.1823
Rh 0.6017 0.6017 0.8177

Peak list (10 most intense, 2θ from 10° to 90°, by intensity)
(2 -1 1), 38.02 deg, intensity 100
(1 1 2), 44.60 deg, intensity 88
(0 0 3), 39.42 deg, intensity 33
(0 0 1), 12.91 deg, intensity 23
(2 -1 4), 65.87 deg, intensity 23
(3 0 0), 63.94 deg, intensity 19
(3 0 3), 77.77 deg, intensity 16
(1 1 0), 35.60 deg, intensity 13
(1 1 5), 79.55 deg, intensity 13
(2 0 0), 41.34 deg, intensity 11